(1)
Diffraction record for Sc2Nb4Tl3C3. The powder X-ray diffraction pattern is computed, not measured: it uses a crystal structure in OQMD, relaxed with PBE and a wavelength of 1.5418 Å.

```
Sc2Nb4Tl3C3
1.0
4.928 -2.849 0.000
4.928 2.849 0.000
-3.294 0.000 14.562
Sc Nb Tl C
4 8 6 6
Direct
0.030 0.871 0.588 Sc
0.129 0.970 0.912 Sc
0.871 0.030 0.088 Sc
0.970 0.129 0.412 Sc
0.192 0.351 0.076 Nb
0.300 0.483 0.424 Nb
0.351 0.192 0.576 Nb
0.483 0.300 0.924 Nb
0.517 0.700 0.076 Nb
0.649 0.808 0.424 Nb
0.700 0.517 0.576 Nb
0.808 0.649 0.924 Nb
0.084 0.265 0.752 Tl
0.265 0.084 0.252 Tl
0.432 0.568 0.750 Tl
0.568 0.432 0.250 Tl
0.735 0.916 0.748 Tl
0.916 0.735 0.248 Tl
0.000 0.500 0.500 C
0.170 0.659 0.000 C
0.341 0.830 0.500 C
0.500 0.000 0.000 C
0.659 0.170 0.500 C
0.830 0.341 0.000 C
```

Principal peaks in the range 2θ from 5° to 70°, in order of rising 2θ:
two_theta  intensity
12.2  32
31.4  33
32.0  26
36.6  50
36.6  100
37.0  30
66.5  24
69.0  28



(2)
Diffraction record for TaNbCSe2. The powder X-ray diffraction pattern is computed, not measured: it uses a crystal structure in OQMD, relaxed with PBE and a wavelength of 1.5418 Å.

```
TaNbCSe2
1.0
3.333 0.000 0.000
-1.666 2.886 0.000
0.000 0.000 9.894
Ta Nb C Se
1 1 1 2
Direct
0.000 0.000 0.000 Ta
0.333 0.667 0.235 Nb
0.667 0.333 0.114 C
0.000 0.000 0.419 Se
0.333 0.667 0.818 Se
```

Principal peaks in the range 2θ from 5° to 70°, in order of rising 2θ:
two_theta  intensity
8.9  100
17.9  11
31.0  27
36.0  81
41.6  39
55.1  22
56.4  13
67.6  13



(3)
Diffraction record for Ta2Nb4Si3C3. The powder X-ray diffraction pattern is computed, not measured: it uses a crystal structure in OQMD, relaxed with PBE and a wavelength of 1.5418 Å.

```
Ta2Nb4Si3C3
1.0
4.839 -2.794 0.000
4.839 2.794 0.000
-3.232 0.000 12.431
Ta Nb Si C
4 8 6 6
Direct
0.032 0.863 0.596 Ta
0.137 0.968 0.904 Ta
0.863 0.032 0.096 Ta
0.968 0.137 0.404 Ta
0.199 0.368 0.098 Nb
0.302 0.466 0.402 Nb
0.368 0.199 0.598 Nb
0.466 0.302 0.902 Nb
0.534 0.698 0.098 Nb
0.632 0.801 0.402 Nb
0.698 0.534 0.598 Nb
0.801 0.632 0.902 Nb
0.084 0.247 0.750 Si
0.247 0.084 0.250 Si
0.415 0.585 0.750 Si
0.585 0.415 0.250 Si
0.753 0.916 0.750 Si
0.916 0.753 0.250 Si
0.000 0.500 0.500 C
0.164 0.672 0.000 C
0.328 0.836 0.500 C
0.500 0.000 0.000 C
0.672 0.164 0.500 C
0.836 0.328 0.000 C
```

Principal peaks in the range 2θ from 5° to 70°, in order of rising 2θ:
two_theta  intensity
14.2  17
28.7  15
32.0  25
32.9  28
38.9  100
43.7  12
57.1  24
61.9  13



(4)
Diffraction record for Nb4TlSiC2. The powder X-ray diffraction pattern is computed, not measured: it uses a crystal structure in OQMD, relaxed with PBE and a wavelength of 1.5418 Å.

```
Nb4TlSiC2
1.0
3.231 0.000 0.000
-1.615 2.798 0.000
0.000 0.000 13.498
Nb Tl Si C
4 1 1 2
Direct
0.000 0.000 0.141 Nb
0.000 0.000 0.859 Nb
0.667 0.333 0.318 Nb
0.667 0.333 0.682 Nb
0.000 0.000 0.500 Tl
0.667 0.333 0.000 Si
0.333 0.667 0.232 C
0.333 0.667 0.768 C
```

Principal peaks in the range 2θ from 5° to 70°, in order of rising 2θ:
two_theta  intensity
6.5  50
32.0  31
33.2  13
34.7  26
37.9  100
40.1  13
57.0  23
64.5  15



(5)
Diffraction record for Nb4TlZnC2. The powder X-ray diffraction pattern is computed, not measured: it uses a crystal structure in OQMD, relaxed with PBE and a wavelength of 1.5418 Å.

```
Nb4TlZnC2
1.0
3.198 0.000 0.000
-1.599 2.770 0.000
0.000 0.000 14.086
Nb Tl Zn C
4 1 1 2
Direct
0.000 0.000 0.156 Nb
0.000 0.000 0.844 Nb
0.333 0.667 0.325 Nb
0.333 0.667 0.675 Nb
0.000 0.000 0.500 Tl
0.333 0.667 0.000 Zn
0.667 0.333 0.239 C
0.667 0.333 0.761 C
```

Principal peaks in the range 2θ from 5° to 70°, in order of rising 2θ:
two_theta  intensity
6.3  33
32.3  25
34.8  10
37.7  100
38.3  19
51.0  16
57.6  20
68.9  14



(6)
Diffraction record for TmNbW2C3. The powder X-ray diffraction pattern is computed, not measured: it uses a crystal structure in OQMD, relaxed with PBE and a wavelength of 1.5418 Å.

```
TmNbW2C3
1.0
11.127 0.000 0.000
0.000 3.201 0.000
-1.715 0.000 5.197
Tm Nb W C
2 2 4 6
Direct
0.000 0.000 0.000 Tm
0.500 0.500 0.000 Tm
0.228 0.000 0.683 Nb
0.728 0.500 0.683 Nb
0.256 0.500 0.167 W
0.457 0.000 0.488 W
0.756 0.000 0.167 W
0.957 0.500 0.488 W
0.112 0.500 0.814 C
0.352 0.500 0.575 C
0.357 0.000 0.079 C
0.612 0.000 0.814 C
0.852 0.000 0.575 C
0.857 0.500 0.079 C
```

Principal peaks in the range 2θ from 5° to 70°, in order of rising 2θ:
two_theta  intensity
19.9  18
33.3  41
33.9  44
35.3  100
38.3  79
43.4  30
58.8  16
59.6  20